1.
PbI: simulated powder diffractogram (copper Kα), based on a DFT-relaxed cell (GGA-PBE, Alexandria).

Top 8 peaks for 10 to 90 degrees two-theta, low angle first:
2θ 11.8, I 100
2θ 27.7, I 97
2θ 30.1, I 48
2θ 32.1, I 42
2θ 33.7, I 51
2θ 35.8, I 33
2θ 37.6, I 53
2θ 53.1, I 35

Structural model:
Cell: 15.3515 4.2487 5.6699 Å, 90.00 101.17 90.00°
Positions (direct):
Pb (0.0000, 0.0000, 0.0000)
Pb (0.0000, 0.4499, 0.5000)
Pb (0.5000, 0.5000, 0.0000)
Pb (0.5000, 0.9499, 0.5000)
I (0.1575, 0.9501, 0.7007)
I (0.3425, 0.4501, 0.2993)
I (0.6575, 0.4501, 0.7007)
I (0.8425, 0.9501, 0.2993)

2.
Sr2HoMnS5: simulated powder diffractogram (copper Kα), based on a DFT-relaxed cell (GGA-PBE, Alexandria).

Top 8 peaks for 10 to 90 degrees two-theta, low angle first:
2θ 17.6, I 25
2θ 23.9, I 42
2θ 27.0, I 26
2θ 31.4, I 48
2θ 31.6, I 100
2θ 37.1, I 49
2θ 45.2, I 24
2θ 45.3, I 27

Structural model:
Cell: 8.9971 8.9971 12.3373 Å, 90.00 90.00 154.30°
Positions (direct):
Sr (0.1202, 0.8798, 0.5000)
Sr (0.1238, 0.8762, 0.1467)
Sr (0.8762, 0.1238, 0.6467)
Sr (0.8798, 0.1202, 0.0000)
Ho (0.2016, 0.7984, 0.8435)
Ho (0.7984, 0.2016, 0.3435)
Mn (0.4448, 0.5552, 0.2440)
Mn (0.5552, 0.4448, 0.7440)
S (0.0387, 0.9613, 0.8342)
S (0.2990, 0.7010, 0.4898)
S (0.3181, 0.6819, 0.1877)
S (0.3506, 0.6494, 0.8238)
S (0.5002, 0.4998, 0.0818)
S (0.4998, 0.5002, 0.5818)
S (0.6494, 0.3506, 0.3238)
S (0.6819, 0.3181, 0.6877)
S (0.7010, 0.2990, 0.9898)
S (0.9613, 0.0387, 0.3342)

3.
NdDyNpO6: simulated powder diffractogram (copper Kα), based on a DFT-relaxed cell (GGA-PBE, Alexandria).

Top 8 peaks for 10 to 90 degrees two-theta, low angle first:
2θ 18.2, I 22
2θ 25.5, I 100
2θ 30.9, I 62
2θ 36.1, I 22
2θ 40.5, I 29
2θ 48.8, I 50
2θ 51.8, I 29
2θ 55.0, I 20

Structural model:
Cell: 5.7871 5.7871 9.7516 Å, 90.00 90.00 120.00°
Positions (direct):
Nd (0.0000, 0.0000, 0.0000)
Nd (0.0000, 0.0000, 0.5000)
Dy (0.3333, 0.6667, 0.2500)
Dy (0.6667, 0.3333, 0.7500)
Np (0.3333, 0.6667, 0.7500)
Np (0.6667, 0.3333, 0.2500)
O (0.0255, 0.3643, 0.6369)
O (0.0255, 0.6612, 0.8631)
O (0.3388, 0.3643, 0.8631)
O (0.3388, 0.9745, 0.6369)
O (0.3643, 0.0255, 0.1369)
O (0.3643, 0.3388, 0.3631)
O (0.6357, 0.6612, 0.6369)
O (0.6357, 0.9745, 0.8631)
O (0.6612, 0.0255, 0.3631)
O (0.6612, 0.6357, 0.1369)
O (0.9745, 0.3388, 0.1369)
O (0.9745, 0.6357, 0.3631)

4.
LiCe5Tl6: simulated powder diffractogram (copper Kα), based on a DFT-relaxed cell (GGA-PBE, Alexandria).

Top 8 peaks for 10 to 90 degrees two-theta, low angle first:
2θ 28.8, I 20
2θ 32.3, I 100
2θ 33.0, I 33
2θ 33.9, I 47
2θ 34.3, I 84
2θ 47.6, I 17
2θ 58.3, I 15
2θ 59.7, I 18

Structural model:
Cell: 8.9905 8.9905 5.4592 Å, 101.52 101.52 50.25°
Positions (direct):
Li (0.0000, 0.0000, 0.0000)
Ce (0.1865, 0.1865, 0.6131)
Ce (0.3270, 0.3270, 0.3977)
Ce (0.5000, 0.5000, 0.0000)
Ce (0.6730, 0.6730, 0.6023)
Ce (0.8135, 0.8135, 0.3869)
Tl (0.0762, 0.6074, 0.9041)
Tl (0.2212, 0.7788, 0.5000)
Tl (0.3926, 0.9238, 0.0959)
Tl (0.6074, 0.0762, 0.9041)
Tl (0.7788, 0.2212, 0.5000)
Tl (0.9238, 0.3926, 0.0959)

5.
Cs2SrP2O7: simulated powder diffractogram (copper Kα), based on a DFT-relaxed cell (GGA-PBE, Alexandria).

Top 8 peaks for 10 to 90 degrees two-theta, low angle first:
2θ 24.4, I 54
2θ 24.7, I 29
2θ 27.8, I 41
2θ 28.2, I 80
2θ 29.0, I 100
2θ 29.1, I 47
2θ 38.5, I 32
2θ 51.0, I 37

Structural model:
Cell: 6.1601 6.1601 13.7620 Å, 103.76 103.76 59.69°
Positions (direct):
Cs (0.0861, 0.6293, 0.8354)
Cs (0.3707, 0.9139, 0.6646)
Cs (0.6293, 0.0861, 0.3354)
Cs (0.9139, 0.3707, 0.1646)
Sr (0.0000, 0.5000, 0.5000)
Sr (0.5000, 0.0000, 0.0000)
P (0.2308, 0.6983, 0.1330)
P (0.3017, 0.7692, 0.3670)
P (0.6983, 0.2308, 0.6330)
P (0.7692, 0.3017, 0.8670)
O (0.0388, 0.2025, 0.9252)
O (0.1736, 0.8264, 0.2500)
O (0.1911, 0.6162, 0.3909)
O (0.2025, 0.0388, 0.4252)
O (0.3781, 0.4082, 0.1292)
O (0.3838, 0.8089, 0.1091)
O (0.4082, 0.3781, 0.6292)
O (0.5918, 0.6219, 0.3708)
O (0.6162, 0.1911, 0.8909)
O (0.6219, 0.5918, 0.8708)
O (0.7975, 0.9612, 0.5748)
O (0.8089, 0.3838, 0.6091)
O (0.8264, 0.1736, 0.7500)
O (0.9612, 0.7975, 0.0748)

6.
Ac3Tl2Au2: simulated powder diffractogram (copper Kα), based on a DFT-relaxed cell (GGA-PBE, Alexandria).

Top 8 peaks for 10 to 90 degrees two-theta, low angle first:
2θ 29.9, I 100
2θ 31.4, I 75
2θ 31.7, I 24
2θ 32.5, I 72
2θ 39.6, I 41
2θ 45.1, I 24
2θ 51.4, I 49
2θ 56.6, I 30

Structural model:
Cell: 4.5467 24.2794 4.0232 Å, 90.00 90.00 90.00°
Positions (direct):
Ac (0.0000, 0.0000, 0.0000)
Ac (0.0000, 0.1685, 0.0000)
Ac (0.0000, 0.8315, 0.0000)
Ac (0.5000, 0.3315, 0.0000)
Ac (0.5000, 0.5000, 0.0000)
Ac (0.5000, 0.6685, 0.0000)
Tl (0.0000, 0.4183, 0.5000)
Tl (0.0000, 0.5817, 0.5000)
Tl (0.5000, 0.0817, 0.5000)
Tl (0.5000, 0.9183, 0.5000)
Au (0.0000, 0.2863, 0.5000)
Au (0.0000, 0.7137, 0.5000)
Au (0.5000, 0.2137, 0.5000)
Au (0.5000, 0.7863, 0.5000)